# Mn2AlRe
Calculated XRD peak list, CuKα. Input: a DFT-relaxed cell (GGA-PBE, Alexandria).
Lines closer than 0.1° are merged.

Main lines, most intense first (15° ≤ 2θ ≤ 90°):
| two_theta | d/Å | I/Imax |
| --- | --- | --- |
| 41.36 | 2.183 | 100 |
| 41.68 | 2.167 | 98 |
| 16.60 | 5.340 | 76 |
| 48.49 | 1.877 | 62 |
| 23.45 | 3.793 | 51 |
| 70.59 | 1.334 | 49 |
| 28.87 | 3.092 | 44 |
| 47.97 | 1.897 | 32 |
| 45.16 | 2.008 | 26 |
| 85.42 | 1.137 | 24 |

Structural model:
```
Mn2AlRe
1.0
2.6403 0.0000 0.0000
0.0000 3.7931 0.0000
0.0000 0.0000 5.3396
Mn Al Re
2 1 1
Direct
0.0000 0.0000 0.0000
0.5000 0.5000 0.2450
0.5000 0.5000 0.7564
0.0000 0.0000 0.4948
```